Record 1
# CdS2Br
Computed XRD peak list, Cu Kα (weighted mean of Kα1 and Kα2). Input: a crystal structure in Alexandria, relaxed with GGA-PBE.

Most intense lines, 5° ≤ 2θ ≤ 70°, in order of falling intensity:
2θ 15.46, I 100
2θ 29.87, I 83
2θ 31.22, I 66
2θ 31.83, I 58
2θ 44.21, I 44
2θ 31.02, I 36
2θ 38.98, I 30
2θ 37.64, I 29

```
CdS2Br
1.0
4.1141 0.0000 0.0000
0.1604 4.3738 0.0000
1.6003 -0.0412 5.7305
Cd S Br
1 2 1
direct
0.0000 0.0000 0.0000
0.1751 0.8856 0.5591
0.8306 0.1212 0.4398
0.5027 0.5032 0.9995
```

Record 2
# Te2PdI2
Computed XRD peak list, Cu Kα (weighted mean of Kα1 and Kα2). Input: a crystal structure in Alexandria, relaxed with GGA-PBE.

Most intense lines, 5° ≤ 2θ ≤ 70°, in order of falling intensity:
2θ 26.44, I 100
2θ 16.52, I 100
2θ 22.06, I 43
2θ 48.26, I 34
2θ 41.50, I 29
2θ 33.38, I 29
2θ 42.74, I 26
2θ 35.57, I 21

```
Te2PdI2
1.0
-2.7871 9.9436 4.0301
2.7871 -9.9436 4.0301
2.7871 9.9436 -4.0301
Te Pd I
4 2 4
direct
0.0797 0.0925 0.1723
0.4203 0.5925 0.0128
0.5797 0.4075 0.9872
0.9203 0.9075 0.8277
0.2500 0.2500 0.0000
0.7500 0.7500 0.0000
0.1851 0.7638 0.9488
0.3149 0.2638 0.5787
0.6851 0.7362 0.4213
0.8149 0.2362 0.0512
```

Record 3
# La4Cd2Ir
Computed XRD peak list, Cu Kα (weighted mean of Kα1 and Kα2). Input: a crystal structure in Alexandria, relaxed with GGA-PBE.

Most intense lines, 5° ≤ 2θ ≤ 70°, in order of falling intensity:
2θ 32.85, I 100
2θ 29.75, I 48
2θ 37.82, I 19
2θ 27.98, I 18
2θ 44.67, I 17
2θ 40.37, I 15
2θ 35.74, I 14
2θ 56.52, I 13

```
La4Cd2Ir
1.0
2.0285 -5.5105 0.0000
2.0285 5.5105 0.0000
0.0000 0.0000 19.5493
La Cd Ir
8 4 2
direct
0.0000 0.0000 0.0000
0.0000 0.0000 0.5000
0.3176 0.6824 0.7500
0.4137 0.5863 0.1485
0.4137 0.5863 0.3515
0.5863 0.4137 0.6485
0.5863 0.4137 0.8515
0.6824 0.3176 0.2500
0.2900 0.7100 0.5641
0.2900 0.7100 0.9359
0.7100 0.2900 0.0641
0.7100 0.2900 0.4359
0.0348 0.9652 0.7500
0.9652 0.0348 0.2500
```